# 1
Structure and theoretical powder diffraction line list of PmScCo (a structure optimized by DFT (GGA-PBE); Cu Kα, 1.54184 Å).
Neutral-atom scattering factors, no anomalous dispersion.

Atomic structure:
```
PmScCo
1.0
-1.7672 3.2777 5.8125
1.7672 -3.2777 5.8125
1.7672 3.2777 -5.8125
Pm Sc Co
2 2 2
Direct
0.2171 0.2171 0.0000
0.7829 0.7829 0.0000
0.2655 0.5000 0.7655
0.7345 0.5000 0.2345
0.3926 0.8926 0.5000
0.6074 0.1074 0.5000
```

Main lines, low angle first (2θ from 10° to 90°):
| two_theta | I (rel.) |
| --- | --- |
| 27.2 | 53 |
| 31.3 | 73 |
| 32.6 | 100 |
| 34.3 | 52 |
| 42.6 | 59 |
| 51.7 | 54 |

# 2
Structure and theoretical powder diffraction line list of Pm4CoSe3 (a structure optimized by DFT (GGA-PBE); Cu Kα, 1.54184 Å).
Neutral-atom scattering factors, no anomalous dispersion.

Atomic structure:
```
Pm4CoSe3
1.0
7.4063 0.0000 0.0000
0.0000 8.3931 0.0000
-2.3387 0.0000 6.6819
Pm Co Se
8 2 6
Direct
0.2267 0.1162 0.0060
0.2267 0.8838 0.5060
0.2353 0.3529 0.4818
0.2353 0.6471 0.9818
0.7647 0.3529 0.0182
0.7647 0.6471 0.5182
0.7733 0.1162 0.4940
0.7733 0.8838 0.9940
0.0000 0.1216 0.2500
0.0000 0.8784 0.7500
0.0000 0.3807 0.7500
0.0000 0.6193 0.2500
0.5000 0.1249 0.7500
0.5000 0.3838 0.2500
0.5000 0.6162 0.7500
0.5000 0.8751 0.2500
```

Main lines, low angle first (2θ from 10° to 90°):
| two_theta | I (rel.) |
| --- | --- |
| 30.1 | 100 |
| 30.3 | 50 |
| 42.5 | 36 |
| 43.2 | 35 |
| 44.0 | 34 |
| 53.6 | 17 |

# 3
Structure and theoretical powder diffraction line list of PmCo9Si4 (a structure optimized by DFT (GGA-PBE); Cu Kα, 1.54184 Å).
Neutral-atom scattering factors, no anomalous dispersion.

Atomic structure:
```
PmCo9Si4
1.0
-3.8655 3.8655 5.7242
3.8655 -3.8655 5.7242
3.8655 3.8655 -5.7242
Pm Co Si
2 18 8
Direct
0.2500 0.2500 0.0000
0.7500 0.7500 0.0000
0.0000 0.5000 0.5000
0.0500 0.5500 0.2395
0.0702 0.8010 0.8712
0.1896 0.9500 0.5000
0.1990 0.0702 0.2692
0.3010 0.5702 0.8712
0.3104 0.8104 0.7605
0.4298 0.3010 0.7308
0.4500 0.6896 0.5000
0.5000 0.0000 0.5000
0.5500 0.3104 0.5000
0.5702 0.6990 0.2692
0.6896 0.1896 0.2395
0.6990 0.4298 0.1288
0.8010 0.9298 0.7308
0.8104 0.0500 0.5000
0.9298 0.1990 0.1288
0.9500 0.4500 0.7605
0.0469 0.2098 0.5000
0.2098 0.7098 0.1629
0.2902 0.4531 0.5000
0.4531 0.9531 0.1629
0.5469 0.0469 0.8371
0.7098 0.5469 0.5000
0.7902 0.2902 0.8371
0.9531 0.7902 0.5000
```

Main lines, low angle first (2θ from 10° to 90°):
| two_theta | I (rel.) |
| --- | --- |
| 35.4 | 21 |
| 36.4 | 21 |
| 39.2 | 24 |
| 40.1 | 100 |
| 47.6 | 38 |
| 48.7 | 31 |

# 4
Structure and theoretical powder diffraction line list of Pm8Co2Si (a structure optimized by DFT (GGA-PBE); Cu Kα, 1.54184 Å).
Neutral-atom scattering factors, no anomalous dispersion.

Atomic structure:
```
Pm8Co2Si
1.0
4.1540 -6.3069 0.0000
4.1540 6.3069 0.0000
-2.1115 0.0000 5.9938
Pm Co Si
8 2 1
Direct
0.0000 0.0000 0.0000
0.0214 0.2908 0.6053
0.1547 0.5804 0.2073
0.2908 0.0214 0.6053
0.4445 0.7155 0.8156
0.5804 0.1547 0.2073
0.7155 0.4445 0.8156
0.7221 0.7221 0.3923
0.0586 0.6794 0.6982
0.6794 0.0586 0.6982
0.3643 0.3643 0.0042
```

Main lines, low angle first (2θ from 10° to 90°):
| two_theta | I (rel.) |
| --- | --- |
| 26.7 | 77 |
| 29.0 | 86 |
| 30.3 | 100 |
| 31.1 | 80 |
| 32.1 | 76 |
| 33.3 | 70 |

# 5
Structure and theoretical powder diffraction line list of Pm3CoSi3 (a structure optimized by DFT (GGA-PBE); Cu Kα, 1.54184 Å).
Neutral-atom scattering factors, no anomalous dispersion.

Atomic structure:
```
Pm3CoSi3
1.0
5.4485 -2.1260 0.0000
5.4485 2.1260 0.0000
-5.0311 0.0000 12.8140
Pm Co Si
6 2 6
Direct
0.0229 0.0229 0.3805
0.1005 0.1005 0.9188
0.2492 0.2492 0.2286
0.7508 0.7508 0.7714
0.8995 0.8995 0.0812
0.9771 0.9771 0.6195
0.2557 0.2557 0.5806
0.7443 0.7443 0.4194
0.3492 0.3492 0.4547
0.3904 0.3904 0.9240
0.4398 0.4398 0.7559
0.5602 0.5602 0.2441
0.6096 0.6096 0.0760
0.6508 0.6508 0.5453
```

Main lines, low angle first (2θ from 10° to 90°):
| two_theta | I (rel.) |
| --- | --- |
| 22.7 | 83 |
| 26.9 | 69 |
| 32.5 | 89 |
| 33.1 | 100 |
| 33.5 | 93 |
| 42.5 | 65 |

# 6
Structure and theoretical powder diffraction line list of Pm4Co3Si (a structure optimized by DFT (GGA-PBE); Cu Kα, 1.54184 Å).
Neutral-atom scattering factors, no anomalous dispersion.

Atomic structure:
```
Pm4Co3Si
1.0
4.0780 0.0000 0.0000
0.0000 4.2355 0.0000
0.0000 0.0000 10.2848
Pm Co Si
4 3 1
Direct
0.0000 0.0000 0.0000
0.0000 0.5000 0.4916
0.5000 0.0000 0.2875
0.5000 0.5000 0.7794
0.0000 0.0000 0.6853
0.0000 0.5000 0.2031
0.5000 0.0000 0.5876
0.5000 0.5000 0.0837
```

Main lines, low angle first (2θ from 10° to 90°):
| two_theta | I (rel.) |
| --- | --- |
| 27.9 | 46 |
| 31.7 | 100 |
| 33.6 | 62 |
| 40.4 | 32 |
| 42.7 | 25 |
| 56.9 | 27 |

# 7
Structure and theoretical powder diffraction line list of PmCo2Si4 (a structure optimized by DFT (GGA-PBE); Cu Kα, 1.54184 Å).
Neutral-atom scattering factors, no anomalous dispersion.

Atomic structure:
```
PmCo2Si4
1.0
16.4894 0.0000 0.0000
0.0000 3.9669 0.0000
0.0000 0.0000 6.2392
Pm Co Si
4 8 16
Direct
0.1400 0.2500 0.0147
0.3600 0.7500 0.5147
0.6400 0.2500 0.4853
0.8600 0.7500 0.9853
0.0340 0.7500 0.7440
0.2111 0.2500 0.4937
0.2889 0.7500 0.9937
0.4660 0.2500 0.2440
0.5340 0.7500 0.7560
0.7111 0.2500 0.0063
0.7889 0.7500 0.5063
0.9660 0.2500 0.2560
0.0259 0.7500 0.1421
0.0670 0.2500 0.5267
0.1805 0.7500 0.6867
0.2019 0.7500 0.2948
0.2981 0.2500 0.7948
0.3195 0.2500 0.1867
0.4330 0.7500 0.0267
0.4741 0.2500 0.6421
0.5259 0.7500 0.3579
0.5670 0.2500 0.9733
0.6805 0.7500 0.8133
0.7019 0.7500 0.2052
0.7981 0.2500 0.7052
0.8195 0.2500 0.3133
0.9330 0.7500 0.4733
0.9741 0.2500 0.8579
```

Main lines, low angle first (2θ from 10° to 90°):
| two_theta | I (rel.) |
| --- | --- |
| 15.2 | 17 |
| 24.9 | 22 |
| 38.3 | 100 |
| 41.0 | 25 |
| 45.7 | 22 |
| 57.3 | 17 |

# 8
Structure and theoretical powder diffraction line list of Pm2Co2Si3 (a structure optimized by DFT (GGA-PBE); Cu Kα, 1.54184 Å).
Neutral-atom scattering factors, no anomalous dispersion.

Atomic structure:
```
Pm2Co2Si3
1.0
5.3603 -1.9086 0.0000
5.3603 1.9086 0.0000
-3.6093 0.0000 5.8715
Pm Co Si
2 2 3
Direct
0.1363 0.1363 0.2631
0.8637 0.8637 0.7369
0.1274 0.1274 0.7140
0.8726 0.8726 0.2860
0.3466 0.3466 0.0653
0.5000 0.5000 0.5000
0.6534 0.6534 0.9347
```

Main lines, low angle first (2θ from 10° to 90°):
| two_theta | I (rel.) |
| --- | --- |
| 25.3 | 100 |
| 30.4 | 98 |
| 34.9 | 84 |
| 37.7 | 95 |
| 37.8 | 72 |
| 39.5 | 85 |

# 9
Structure and theoretical powder diffraction line list of PmCoSi2Tc (a structure optimized by DFT (GGA-PBE); Cu Kα, 1.54184 Å).
Neutral-atom scattering factors, no anomalous dispersion.

Atomic structure:
```
PmCoSi2Tc
1.0
-2.0635 2.0635 4.9023
2.0635 -2.0635 4.9023
2.0635 2.0635 -4.9023
Pm Co Si Tc
1 1 2 1
Direct
0.0000 0.0000 0.0000
0.7500 0.2500 0.5000
0.3669 0.3669 0.0000
0.6331 0.6331 0.0000
0.2500 0.7500 0.5000
```

Main lines, low angle first (2θ from 10° to 90°):
| two_theta | I (rel.) |
| --- | --- |
| 23.4 | 42 |
| 35.0 | 45 |
| 35.8 | 100 |
| 43.9 | 41 |
| 57.3 | 21 |
| 75.4 | 22 |

# 10
Structure and theoretical powder diffraction line list of Pm3SmCo8 (a structure optimized by DFT (GGA-PBE); Cu Kα, 1.54184 Å).
Neutral-atom scattering factors, no anomalous dispersion.

Atomic structure:
```
Pm3SmCo8
1.0
2.5739 1.4860 8.4016
-2.5739 1.4860 8.4016
0.0000 -2.9720 8.4016
Pm Sm Co
3 1 8
Direct
0.0000 0.0000 0.0000
0.1251 0.1251 0.1251
0.6251 0.6251 0.6251
0.5001 0.5001 0.5001
0.0625 0.0625 0.5619
0.0625 0.5619 0.0625
0.0634 0.5624 0.5624
0.3125 0.3125 0.3125
0.5619 0.0625 0.0625
0.5624 0.0634 0.5624
0.5624 0.5624 0.0634
0.8126 0.8126 0.8126
```

Main lines, low angle first (2θ from 10° to 90°):
| two_theta | I (rel.) |
| --- | --- |
| 34.9 | 62 |
| 41.1 | 100 |
| 43.0 | 16 |
| 62.5 | 23 |
| 66.8 | 30 |
| 73.6 | 22 |

# 11
Structure and theoretical powder diffraction line list of Pm2SmCo3 (a structure optimized by DFT (GGA-PBE); Cu Kα, 1.54184 Å).
Neutral-atom scattering factors, no anomalous dispersion.

Atomic structure:
```
Pm2SmCo3
1.0
6.9988 -4.0399 0.0000
6.9988 4.0399 0.0000
0.0000 0.0000 4.6089
Pm Sm Co
4 2 6
Direct
0.0006 0.6667 0.7500
0.3333 0.9994 0.7500
0.6667 0.0006 0.2500
0.9994 0.3333 0.2500
0.3339 0.6661 0.2500
0.6661 0.3339 0.7500
0.0000 0.0000 0.0000
0.0000 0.0000 0.5000
0.3340 0.3340 0.0000
0.3340 0.3340 0.5000
0.6660 0.6660 0.0000
0.6660 0.6660 0.5000
```

Main lines, low angle first (2θ from 10° to 90°):
| two_theta | I (rel.) |
| --- | --- |
| 29.4 | 100 |
| 38.6 | 65 |
| 45.3 | 34 |
| 49.2 | 24 |
| 64.3 | 22 |
| 74.5 | 15 |

# 12
Structure and theoretical powder diffraction line list of Pm5Sm2Co4 (a structure optimized by DFT (GGA-PBE); Cu Kα, 1.54184 Å).
Neutral-atom scattering factors, no anomalous dispersion.

Atomic structure:
```
Pm5Sm2Co4
1.0
6.0984 -3.3358 0.0000
6.0984 3.3358 0.0000
-5.6988 0.0000 7.1890
Pm Sm Co
5 2 4
Direct
0.0000 0.0000 0.0000
0.1852 0.6709 0.6057
0.3291 0.8148 0.3943
0.6709 0.1852 0.6057
0.8148 0.3291 0.3943
0.2814 0.2814 0.8880
0.7186 0.7186 0.1120
0.2214 0.2214 0.3404
0.3233 0.3233 0.2047
0.6767 0.6767 0.7953
0.7786 0.7786 0.6596
```

Main lines, low angle first (2θ from 10° to 90°):
| two_theta | I (rel.) |
| --- | --- |
| 26.7 | 24 |
| 28.1 | 19 |
| 29.5 | 100 |
| 32.7 | 32 |
| 33.4 | 23 |
| 49.8 | 27 |